Starting from a structure optimized by DFT (GGA+U), the powder diffractogram of MgFeF4 was simulated for CuKα.
Intensities are scaled so that the largest is 100.

Cell and atoms:
```
data_MgFeF4
_cell_length_a 5.088
_cell_length_b 5.564
_cell_length_c 5.809
_cell_angle_alpha 110.00
_cell_angle_beta 109.40
_cell_angle_gamma 90.28
_space_group_name_H-M_alt 'P 1'
_space_group_IT_number 1
_space_group_name_Hall 'P 1'
loop_
_atom_site_label
_atom_site_fract_x
_atom_site_fract_y
_atom_site_fract_z
Mg1 0.000 0.000 0.000
Mg2 0.500 0.352 0.976
Fe1 0.250 0.677 0.489
Fe2 0.751 0.179 0.489
F1 0.057 0.704 0.737
F2 0.090 0.220 0.798
F3 0.410 0.132 0.179
F4 0.442 0.648 0.239
F5 0.539 0.461 0.698
F6 0.599 0.009 0.753
F7 0.901 0.344 0.224
F8 0.961 0.893 0.279
```

Most intense lines, 2θ from 10° to 80°, by intensity:
| Position (°2θ) | I/Imax | h k l |
| --- | --- | --- |
| 27.09 | 100.0 | 1 1 0 |
| 32.56 | 72.2 | 1 1 -2 |
| 29.73 | 63.2 | 1 -1 1 |
| 29.26 | 62.4 | -1 1 1 |
| 47.58 | 51.0 | 2 0 1 |
| 54.01 | 37.6 | 2 0 -3 |
| 17.38 | 33.3 | 0 0 1 |
| 43.97 | 29.8 | -1 2 1 |
| 41.72 | 28.3 | 2 0 -2 |
| 40.31 | 25.8 | 1 2 -2 |